[1]
Simulated X-ray powder pattern
Compound: Sc2Te3
Radiation: λ = 1.5418 Å (Cu Kα)
Structure: a PBE-relaxed structure
Neutral-atom scattering factors, no anomalous dispersion.

Top 12 peaks for 10° ≤ 2θ ≤ 90°, in order of falling intensity:
| d (Å) | Rel. int. |
| --- | --- |
| 3.034 | 100 |
| 3.252 | 95 |
| 2.061 | 65 |
| 3.057 | 51 |
| 3.424 | 50 |
| 3.288 | 48 |
| 2.684 | 39 |
| 1.766 | 32 |
| 1.996 | 31 |
| 2.037 | 31 |
| 1.318 | 25 |
| 1.316 | 24 |

Crystal structure
Unit cell a=7.083 b=7.085 c=13.900 alpha=94.93 beta=94.96 gamma=119.20
Fractional positions:
Sc (0.000, 0.000, 0.000)
Sc (0.082, 0.748, 0.246)
Sc (0.168, 0.835, 0.504)
Sc (0.330, 0.665, 0.000)
Sc (0.500, 0.500, 0.500)
Sc (0.670, 0.335, 0.000)
Sc (0.832, 0.165, 0.496)
Sc (0.918, 0.252, 0.754)
Te (0.043, 0.374, 0.126)
Te (0.127, 0.125, 0.374)
Te (0.207, 0.538, 0.626)
Te (0.293, 0.291, 0.875)
Te (0.376, 0.043, 0.125)
Te (0.456, 0.789, 0.374)
Te (0.544, 0.211, 0.626)
Te (0.624, 0.957, 0.875)
Te (0.707, 0.709, 0.125)
Te (0.793, 0.462, 0.374)
Te (0.873, 0.875, 0.626)
Te (0.957, 0.626, 0.874)

[2]
Simulated X-ray powder pattern
Compound: Ba3LuIrRuO9
Radiation: λ = 1.5418 Å (Cu Kα)
Structure: a PBE-relaxed structure
Neutral-atom scattering factors, no anomalous dispersion.

Top 12 peaks for 10° ≤ 2θ ≤ 90°, in order of falling intensity:
| d (Å) | Rel. int. |
| --- | --- |
| 2.956 | 100 |
| 2.968 | 65 |
| 1.708 | 45 |
| 2.095 | 35 |
| 1.118 | 18 |
| 1.478 | 18 |
| 3.524 | 17 |
| 4.831 | 15 |
| 2.533 | 15 |
| 2.265 | 13 |
| 1.323 | 11 |
| 1.928 | 11 |

Crystal structure
Unit cell a=5.913 b=5.913 c=14.570 alpha=90.00 beta=90.00 gamma=120.00
Fractional positions:
Ba (0.000, 0.000, 0.000)
Ba (0.000, 0.000, 0.500)
Ba (0.333, 0.667, 0.157)
Ba (0.333, 0.667, 0.841)
Ba (0.667, 0.333, 0.341)
Ba (0.667, 0.333, 0.657)
Lu (0.000, 0.000, 0.249)
Lu (0.000, 0.000, 0.749)
Ir (0.333, 0.667, 0.587)
Ir (0.667, 0.333, 0.087)
Ru (0.333, 0.667, 0.412)
Ru (0.667, 0.333, 0.912)
O (0.020, 0.510, 0.499)
O (0.174, 0.348, 0.337)
O (0.174, 0.348, 0.665)
O (0.174, 0.826, 0.337)
O (0.174, 0.826, 0.665)
O (0.348, 0.174, 0.165)
O (0.348, 0.174, 0.837)
O (0.490, 0.510, 0.499)
O (0.490, 0.980, 0.499)
O (0.510, 0.020, 0.999)
O (0.510, 0.490, 0.999)
O (0.652, 0.826, 0.337)
O (0.652, 0.826, 0.665)
O (0.826, 0.174, 0.165)
O (0.826, 0.174, 0.837)
O (0.826, 0.652, 0.165)
O (0.826, 0.652, 0.837)
O (0.980, 0.490, 0.999)

[3]
Simulated X-ray powder pattern
Compound: LiV2S4
Radiation: λ = 1.5418 Å (Cu Kα)
Structure: a PBE-relaxed structure
Neutral-atom scattering factors, no anomalous dispersion.

Top 12 peaks for 10° ≤ 2θ ≤ 90°, in order of falling intensity:
| d (Å) | Rel. int. |
| --- | --- |
| 5.780 | 100 |
| 2.480 | 80 |
| 1.778 | 55 |
| 2.551 | 42 |
| 2.998 | 31 |
| 1.754 | 27 |
| 1.445 | 23 |
| 1.911 | 16 |
| 3.060 | 12 |
| 1.959 | 10 |
| 1.109 | 10 |
| 1.115 | 10 |

Crystal structure
Unit cell a=7.115 b=7.115 c=7.115 alpha=120.93 beta=120.93 gamma=88.39
Fractional positions:
Li (0.375, 0.625, 0.750)
Li (0.625, 0.375, 0.250)
V (0.000, 0.000, 0.000)
V (0.000, 0.000, 0.500)
V (0.000, 0.500, 0.000)
V (0.500, 0.000, 0.500)
S (0.223, 0.238, 0.985)
S (0.238, 0.223, 0.485)
S (0.238, 0.752, 0.015)
S (0.248, 0.762, 0.485)
S (0.752, 0.238, 0.515)
S (0.762, 0.248, 0.985)
S (0.762, 0.777, 0.515)
S (0.777, 0.762, 0.015)

[4]
Simulated X-ray powder pattern
Compound: TbAlNi4
Radiation: λ = 1.5418 Å (Cu Kα)
Structure: a PBE-relaxed structure
Neutral-atom scattering factors, no anomalous dispersion.

Top 12 peaks for 10° ≤ 2θ ≤ 90°, in order of falling intensity:
| d (Å) | Rel. int. |
| --- | --- |
| 2.087 | 100 |
| 2.125 | 82 |
| 2.445 | 55 |
| 2.898 | 50 |
| 2.002 | 44 |
| 2.932 | 37 |
| 2.153 | 35 |
| 1.549 | 26 |
| 4.004 | 24 |
| 1.351 | 23 |
| 1.466 | 20 |
| 1.322 | 16 |

Crystal structure
Unit cell a=5.014 b=8.401 c=4.004 alpha=90.00 beta=90.00 gamma=90.00
Fractional positions:
Tb (0.000, 0.000, 0.000)
Tb (0.500, 0.500, 0.000)
Al (0.000, 0.500, 0.500)
Al (0.500, 0.000, 0.500)
Ni (0.000, 0.334, 0.000)
Ni (0.000, 0.666, 0.000)
Ni (0.250, 0.250, 0.500)
Ni (0.250, 0.750, 0.500)
Ni (0.500, 0.166, 0.000)
Ni (0.500, 0.834, 0.000)
Ni (0.750, 0.250, 0.500)
Ni (0.750, 0.750, 0.500)

[5]
Simulated X-ray powder pattern
Compound: LiCuF3
Radiation: λ = 1.5418 Å (Cu Kα)
Structure: a PBE-relaxed structure
Neutral-atom scattering factors, no anomalous dispersion.

Top 12 peaks for 10° ≤ 2θ ≤ 90°, in order of falling intensity:
| d (Å) | Rel. int. |
| --- | --- |
| 4.906 | 100 |
| 5.925 | 37 |
| 2.962 | 36 |
| 3.080 | 32 |
| 2.448 | 27 |
| 2.824 | 23 |
| 1.975 | 22 |
| 2.553 | 19 |
| 3.716 | 19 |
| 2.056 | 17 |
| 1.575 | 15 |
| 1.725 | 15 |

Crystal structure
Unit cell a=3.279 b=9.812 c=7.744 alpha=90.00 beta=106.30 gamma=90.00
Fractional positions:
Li (0.042, 0.183, 0.018)
Li (0.042, 0.317, 0.518)
Li (0.958, 0.683, 0.482)
Li (0.958, 0.817, 0.982)
Cu (0.296, 0.512, 0.188)
Cu (0.296, 0.988, 0.688)
Cu (0.704, 0.012, 0.312)
Cu (0.704, 0.488, 0.812)
F (0.164, 0.117, 0.484)
F (0.164, 0.383, 0.984)
F (0.182, 0.574, 0.689)
F (0.182, 0.926, 0.189)
F (0.380, 0.655, 0.358)
F (0.380, 0.845, 0.858)
F (0.620, 0.155, 0.142)
F (0.620, 0.345, 0.642)
F (0.818, 0.074, 0.811)
F (0.818, 0.426, 0.311)
F (0.836, 0.617, 0.016)
F (0.836, 0.883, 0.516)